Record 1
Starting from a PBE-relaxed structure, the powder diffractogram of Pm6Pr2Nd was simulated for Cu Kα (weighted mean of Kα1 and Kα2).
Neutral-atom scattering factors, no anomalous dispersion.

Atomic structure:
Cell: 6.8103 6.8103 10.6632 Å, 121.47 121.47 50.57°
Sites, in units of the cell vectors:
Pm (0.0008, 0.0008, 0.1672)
Pm (0.3344, 0.3344, 0.5565)
Pm (0.3338, 0.3338, 0.8896)
Pm (0.6662, 0.6662, 0.1104)
Pm (0.6656, 0.6656, 0.4435)
Pm (0.9992, 0.9992, 0.8328)
Pr (0.3313, 0.3313, 0.2209)
Pr (0.6687, 0.6687, 0.7791)
Nd (0.0000, 0.0000, 0.5000)

Peak list (12 most intense, 2θ = 10–90°, in order of rising 2θ)
2θ/deg, d_spacing, intensity
30.78, 2.905, 100
40.08, 2.250, 6
44.09, 2.054, 18
51.42, 1.777, 4
54.72, 1.677, 29
61.12, 1.516, 16
64.13, 1.452, 4
72.75, 1.300, 5
78.37, 1.220, 6
86.50, 1.125, 4
89.09, 1.099, 5
89.25, 1.097, 5

Record 2
Starting from a PBE-relaxed structure, the powder diffractogram of Ag2PbSeS was simulated for Cu Kα (weighted mean of Kα1 and Kα2).
Neutral-atom scattering factors, no anomalous dispersion.

Atomic structure:
Cell: 7.8932 7.8932 7.8932 Å, 133.85 133.85 67.32°
Sites, in units of the cell vectors:
Ag (0.1702, 0.6702, 0.8404)
Ag (0.3298, 0.1702, 0.5000)
Ag (0.6702, 0.8298, 0.5000)
Ag (0.8298, 0.3298, 0.1596)
Pb (0.2929, 0.2929, 0.0000)
Pb (0.7929, 0.7929, 0.0000)
Se (0.3258, 0.8258, 0.5000)
Se (0.8258, 0.3258, 0.5000)
S (0.0844, 0.0844, 0.0000)
S (0.5844, 0.5844, 0.0000)

Peak list (12 most intense, 2θ = 10–90°, in order of rising 2θ)
2θ/deg, d_spacing, intensity
13.48, 6.570, 30
24.44, 3.641, 41
27.15, 3.285, 48
28.86, 3.094, 20
31.98, 2.799, 100
33.08, 2.708, 40
38.48, 2.339, 26
40.04, 2.252, 36
41.26, 2.188, 42
46.39, 1.957, 36
50.10, 1.821, 21
54.60, 1.681, 22

Record 3
Starting from a PBE-relaxed structure, the powder diffractogram of Pu3ThAl8 was simulated for Cu Kα (weighted mean of Kα1 and Kα2).
Neutral-atom scattering factors, no anomalous dispersion.

Atomic structure:
Cell: 9.5815 9.5815 9.5815 Å, 33.64 33.64 33.64°
Sites, in units of the cell vectors:
Pu (0.0000, 0.0000, 0.0000)
Pu (0.1219, 0.1219, 0.1219)
Pu (0.4963, 0.4963, 0.4963)
Th (0.6225, 0.6225, 0.6225)
Al (0.0590, 0.0590, 0.5594)
Al (0.0590, 0.5594, 0.0590)
Al (0.0621, 0.5601, 0.5601)
Al (0.3107, 0.3107, 0.3107)
Al (0.5594, 0.0590, 0.0590)
Al (0.5601, 0.0621, 0.5601)
Al (0.5601, 0.5601, 0.0621)
Al (0.8098, 0.8098, 0.8098)

Peak list (12 most intense, 2θ = 10–90°, in order of rising 2θ)
2θ/deg, d_spacing, intensity
19.63, 4.524, 76
32.32, 2.770, 100
38.09, 2.362, 88
46.36, 1.959, 11
50.77, 1.798, 16
57.61, 1.600, 30
57.73, 1.597, 10
61.49, 1.508, 28
67.58, 1.386, 9
67.71, 1.384, 9
71.17, 1.325, 11
76.97, 1.239, 17

Record 4
Starting from a PBE-relaxed structure, the powder diffractogram of Ac4CeBi6 was simulated for Cu Kα (weighted mean of Kα1 and Kα2).
Neutral-atom scattering factors, no anomalous dispersion.

Atomic structure:
Cell: 9.4310 9.4310 9.4310 Å, 87.41 87.41 87.41°
Sites, in units of the cell vectors:
Ac (0.1330, 0.7500, 0.3670)
Ac (0.2500, 0.2500, 0.2500)
Ac (0.2500, 0.6330, 0.8670)
Ac (0.3670, 0.1330, 0.7500)
Ac (0.6330, 0.8670, 0.2500)
Ac (0.7500, 0.3670, 0.1330)
Ac (0.7500, 0.7500, 0.7500)
Ac (0.8670, 0.2500, 0.6330)
Ce (0.0000, 0.0000, 0.0000)
Ce (0.5000, 0.5000, 0.5000)
Bi (0.0709, 0.9194, 0.6798)
Bi (0.0806, 0.3202, 0.9291)
Bi (0.1798, 0.4194, 0.5709)
Bi (0.3202, 0.9291, 0.0806)
Bi (0.4194, 0.5709, 0.1798)
Bi (0.4291, 0.8202, 0.5806)
Bi (0.5709, 0.1798, 0.4194)
Bi (0.5806, 0.4291, 0.8202)
Bi (0.6798, 0.0709, 0.9194)
Bi (0.8202, 0.5806, 0.4291)
Bi (0.9194, 0.6798, 0.0709)
Bi (0.9291, 0.0806, 0.3202)

Peak list (12 most intense, 2θ = 10–90°, in order of rising 2θ)
2θ/deg, d_spacing, intensity
23.32, 3.815, 23
23.65, 3.762, 21
26.19, 3.402, 35
29.00, 3.079, 77
29.62, 3.016, 77
31.47, 2.843, 26
31.65, 2.827, 100
33.64, 2.664, 20
36.48, 2.463, 28
40.77, 2.213, 24
58.24, 1.584, 30
61.49, 1.508, 30

Which formula does entry 4 have? Ac4CeBi6